Starting from the GGA-PBE geometry in Alexandria, the powder diffraction line list of K2Zn2Se2O was simulated for Cu Kα (weighted mean of Kα1 and Kα2).
Kinematic intensities with the Lorentz-polarization factor, no thermal factor.

Atomic structure:
Lattice parameters (Å, degrees): 12.3470 4.0549 7.6254 90.00 121.14 90.00
Space group C2/m (No. 12)
Inequivalent atoms, fractional coordinates:
K1 0.0496 0.0000 0.2942 x4
Zn1 0.1733 0.5000 0.0687 x4
Se1 0.1950 0.5000 0.7452 x4
O1 0.0000 0.5000 0.0000 x2

The 6 most intense peaks (10 to 90 degrees two-theta), in order of falling intensity:
- 33.70 deg, I 1000, (3 1 0)
- 29.39 deg, I 715, (1 1 1)
- 13.57 deg, I 671, (0 0 1)
- 32.74 deg, I 410, (1 1 -2)
- 16.78 deg, I 400, (2 0 0)
- 37.58 deg, I 372, (4 0 -3)

***

Starting from the GGA-PBE geometry in Alexandria, the powder diffraction line list of Sr3MnC2N6 was simulated for Cu Kα (weighted mean of Kα1 and Kα2).
Kinematic intensities with the Lorentz-polarization factor, no thermal factor.

Atomic structure:
Lattice parameters (Å, degrees): 5.3612 5.3612 6.4740 90.00 90.00 120.00
Space group P-3m1 (No. 164)
Inequivalent atoms, fractional coordinates:
Sr1 0.0000 0.0000 0.0000 x1
Sr2 0.3333 0.6667 0.6938 x2
Mn1 0.0000 0.0000 0.5000 x1
C1 0.3333 0.6667 0.2954 x2
N1 0.1848 0.3696 0.2944 x6

The 6 most intense peaks (10 to 90 degrees two-theta), in order of falling intensity:
- 33.75 deg, I 1000, (0 1 2)
- 33.43 deg, I 984, (1 1 0)
- 23.58 deg, I 586, (1 0 1)
- 48.24 deg, I 512, (2 0 2)
- 41.32 deg, I 437, (0 2 1)
- 59.96 deg, I 318, (1 2 2)

***

Starting from the GGA-PBE geometry in Alexandria, the powder diffraction line list of V6Re5Ge was simulated for Cu Kα (weighted mean of Kα1 and Kα2).
Kinematic intensities with the Lorentz-polarization factor, no thermal factor.

Atomic structure:
Lattice parameters (Å, degrees): 4.2877 6.1078 12.8417 90.00 90.00 90.00
Space group Immm (No. 71)
Inequivalent atoms, fractional coordinates:
V1 0.0000 0.2438 0.0000 x4
V2 0.0000 0.2528 0.3316 x8
Re1 0.0000 0.0000 0.1677 x4
Re2 0.0000 0.5000 0.1648 x4
Re3 0.0000 0.5000 0.5000 x2
Ge1 0.0000 0.0000 0.5000 x2

The 6 most intense peaks (10 to 90 degrees two-theta), in order of falling intensity:
- 42.01 deg, I 1000, (1 2 3)
- 42.19 deg, I 494, (2 0 0)
- 29.49 deg, I 366, (1 0 3)
- 29.24 deg, I 187, (0 2 0)
- 76.64 deg, I 166, (2 4 0)
- 76.95 deg, I 164, (3 2 3)